Simulated PXRD pattern of HfTl4Te4 for Cu Kα, from a DFT-relaxed cell (GGA-PBE, the Materials Project).
No peak broadening, texture or thermal motion is included.

Top 8 peaks for 2θ from 10° to 80°, low angle first:
two_theta, I (rel.)
21.97, 36
27.77, 47
30.29, 20
30.83, 100
31.68, 66
32.62, 23
38.88, 19
44.81, 28

Atomic structure:
```
data_HfTl4Te4
_cell_length_a 9.875
_cell_length_b 9.875
_cell_length_c 9.875
_cell_angle_alpha 98.37
_cell_angle_beta 98.37
_cell_angle_gamma 98.37
_symmetry_space_group_name_H-M 'P 1'
_symmetry_Int_Tables_number 1
loop_
_symmetry_equiv_pos_as_xyz
'x,y,z'
loop_
_atom_site_label
_atom_site_type_symbol
_atom_site_fract_x
_atom_site_fract_y
_atom_site_fract_z
Hf1 Hf 0.000 0.000 0.000
Hf2 Hf 0.255 0.255 0.255
Hf3 Hf 0.745 0.745 0.745
Tl1 Tl 0.033 0.370 0.865
Tl2 Tl 0.135 0.967 0.630
Tl3 Tl 0.165 0.618 0.488
Tl4 Tl 0.370 0.865 0.033
Tl5 Tl 0.382 0.512 0.835
Tl6 Tl 0.488 0.165 0.618
Tl7 Tl 0.512 0.835 0.382
Tl8 Tl 0.618 0.488 0.165
Tl9 Tl 0.630 0.135 0.967
Tl10 Tl 0.835 0.382 0.512
Tl11 Tl 0.865 0.033 0.370
Tl12 Tl 0.967 0.630 0.135
Te1 Te 0.047 0.741 0.842
Te2 Te 0.158 0.953 0.259
Te3 Te 0.205 0.304 0.536
Te4 Te 0.259 0.158 0.953
Te5 Te 0.304 0.536 0.205
Te6 Te 0.464 0.795 0.696
Te7 Te 0.536 0.205 0.304
Te8 Te 0.696 0.464 0.795
Te9 Te 0.741 0.842 0.047
Te10 Te 0.795 0.696 0.464
Te11 Te 0.842 0.047 0.741
Te12 Te 0.953 0.259 0.158
```

Simulated PXRD pattern of CaRhO3 for Cu Kα, from a DFT-relaxed cell (GGA-PBE, the Materials Project).
No peak broadening, texture or thermal motion is included.

Top 8 peaks for 2θ from 10° to 80°, low angle first:
two_theta, I (rel.)
13.88, 84
19.92, 100
30.88, 81
31.26, 87
31.76, 80
33.33, 72
34.57, 50
42.12, 49

Atomic structure:
```
data_CaRhO3
_cell_length_a 8.966
_cell_length_b 3.173
_cell_length_c 12.656
_cell_angle_alpha 90.00
_cell_angle_beta 104.37
_cell_angle_gamma 90.00
_symmetry_space_group_name_H-M 'P 1'
_symmetry_Int_Tables_number 1
loop_
_symmetry_equiv_pos_as_xyz
'x,y,z'
loop_
_atom_site_label
_atom_site_type_symbol
_atom_site_fract_x
_atom_site_fract_y
_atom_site_fract_z
Ca1 Ca 0.008 0.250 0.350
Ca2 Ca 0.333 0.250 0.053
Ca3 Ca 0.383 0.250 0.330
Ca4 Ca 0.617 0.750 0.670
Ca5 Ca 0.667 0.750 0.947
Ca6 Ca 0.992 0.750 0.650
Rh1 Rh 0.000 0.250 0.892
Rh2 Rh 0.000 0.750 0.108
Rh3 Rh 0.272 0.750 0.544
Rh4 Rh 0.355 0.250 0.806
Rh5 Rh 0.645 0.750 0.194
Rh6 Rh 0.728 0.250 0.456
O1 O 0.117 0.750 0.986
O2 O 0.123 0.250 0.783
O3 O 0.124 0.250 0.180
O4 O 0.128 0.250 0.547
O5 O 0.214 0.750 0.381
O6 O 0.328 0.750 0.706
O7 O 0.391 0.750 0.914
O8 O 0.416 0.250 0.552
O9 O 0.418 0.750 0.190
O10 O 0.582 0.250 0.810
O11 O 0.584 0.750 0.448
O12 O 0.609 0.250 0.086
O13 O 0.672 0.250 0.294
O14 O 0.786 0.250 0.619
O15 O 0.872 0.750 0.453
O16 O 0.876 0.750 0.820
O17 O 0.877 0.750 0.217
O18 O 0.883 0.250 0.014
```

Simulated PXRD pattern of EuB2O4 for Cu Kα, from a DFT-relaxed cell (GGA-PBE, the Materials Project).
No peak broadening, texture or thermal motion is included.

Top 8 peaks for 2θ from 10° to 80°, low angle first:
two_theta, I (rel.)
14.63, 67
25.45, 100
26.80, 26
30.67, 33
33.06, 61
44.90, 42
46.52, 33
59.06, 25

Atomic structure:
```
data_EuB2O4
_cell_length_a 12.107
_cell_length_b 4.375
_cell_length_c 6.653
_cell_angle_alpha 90.00
_cell_angle_beta 90.00
_cell_angle_gamma 90.00
_symmetry_space_group_name_H-M 'P 1'
_symmetry_Int_Tables_number 1
loop_
_symmetry_equiv_pos_as_xyz
'x,y,z'
loop_
_atom_site_label
_atom_site_type_symbol
_atom_site_fract_x
_atom_site_fract_y
_atom_site_fract_z
Eu1 Eu 0.000 0.236 0.250
Eu2 Eu 0.000 0.764 0.750
Eu3 Eu 0.500 0.264 0.750
Eu4 Eu 0.500 0.736 0.250
B1 B 0.194 0.328 0.624
B2 B 0.194 0.672 0.124
B3 B 0.306 0.172 0.124
B4 B 0.306 0.828 0.624
B5 B 0.694 0.172 0.376
B6 B 0.694 0.828 0.876
B7 B 0.806 0.328 0.876
B8 B 0.806 0.672 0.376
O1 O 0.090 0.234 0.593
O2 O 0.090 0.766 0.093
O3 O 0.211 0.353 0.145
O4 O 0.211 0.647 0.645
O5 O 0.289 0.147 0.645
O6 O 0.289 0.853 0.145
O7 O 0.410 0.266 0.093
O8 O 0.410 0.734 0.593
O9 O 0.590 0.266 0.407
O10 O 0.590 0.734 0.907
O11 O 0.711 0.147 0.855
O12 O 0.711 0.853 0.355
O13 O 0.789 0.353 0.355
O14 O 0.789 0.647 0.855
O15 O 0.910 0.234 0.907
O16 O 0.910 0.766 0.407
```